Diffraction record for Sr2PdAu7. The X-ray diffraction stick pattern is theoretical, not measured: it uses a cell relaxed with PBE and Cu Kα (weighted mean of Kα1 and Kα2).
No peak broadening, texture or thermal motion is included.

Main lines, by angle (10° ≤ 2θ ≤ 90°):
h k l, 2θ/deg, I/Imax
0 0 2, 13.87, 15
1 0 1, 22.17, 42
1 0 3, 29.80, 24
1 1 2, 33.12, 88
1 1 4, 41.37, 100
2 0 0, 42.82, 53
2 1 5, 61.02, 24
2 2 0, 62.16, 18
3 1 2, 72.27, 19
3 1 4, 77.45, 27

Atomic structure:
```
Sr2PdAu7
1.0
4.2236 0.0000 0.0000
0.0000 4.2236 0.0000
0.0000 0.0000 12.7675
Sr Pd Au
2 1 7
direct
0.0000 0.5000 0.2421
0.5000 0.0000 0.7579
0.5000 0.5000 0.0000
0.0000 0.0000 0.0000
0.0000 0.0000 0.5000
0.0000 0.5000 0.6477
0.0000 0.5000 0.8573
0.5000 0.0000 0.1427
0.5000 0.0000 0.3523
0.5000 0.5000 0.5000
```